[1]
# Zr2Sn
Simulated powder XRD pattern, copper Kα. Input: DFT lattice parameters and positions (PBE).
Peak positions follow from Bragg's law for the DFT cell and can differ from measured ones.

Principal peaks in the range 2θ from 15° to 90°, by angle:
2θ 33.9, d 2.644, intensity 31
2θ 34.0, d 2.635, intensity 31
2θ 36.6, d 2.453, intensity 100
2θ 48.8, d 1.867, intensity 22
2θ 56.6, d 1.627, intensity 7
2θ 62.5, d 1.487, intensity 20
2θ 62.6, d 1.484, intensity 21
2θ 67.7, d 1.385, intensity 16
2θ 77.9, d 1.226, intensity 11
2θ 81.4, d 1.182, intensity 5
2θ 81.6, d 1.179, intensity 5
2θ 83.1, d 1.162, intensity 9

Cell and atoms:
```
Zr2Sn
1.0
4.880 -2.644 0.000
4.880 2.644 0.000
0.000 0.000 5.271
Zr Sn
4 2
Direct
0.079 0.594 0.750 Zr
0.406 0.921 0.750 Zr
0.594 0.079 0.250 Zr
0.921 0.406 0.250 Zr
0.261 0.739 0.250 Sn
0.739 0.261 0.750 Sn
```

***

[2]
# Be3Nb
Simulated powder XRD pattern, copper Kα. Input: DFT lattice parameters and positions (PBE).
Peak positions follow from Bragg's law for the DFT cell and can differ from measured ones.

Principal peaks in the range 2θ from 15° to 90°, by angle:
2θ 22.9, d 3.887, intensity 100
2θ 25.4, d 3.513, intensity 23
2θ 37.5, d 2.395, intensity 59
2θ 39.5, d 2.283, intensity 55
2θ 41.2, d 2.192, intensity 33
2θ 46.1, d 1.969, intensity 22
2θ 47.5, d 1.914, intensity 39
2θ 55.6, d 1.653, intensity 13
2θ 62.3, d 1.491, intensity 12
2θ 70.3, d 1.339, intensity 18
2θ 72.7, d 1.300, intensity 11
2θ 80.2, d 1.197, intensity 17

Cell and atoms:
```
Be3Nb
1.0
2.283 1.318 7.025
-2.283 1.318 7.025
0.000 -2.636 7.025
Be Nb
9 3
Direct
0.000 0.000 0.000 Be
0.084 0.084 0.576 Be
0.084 0.576 0.084 Be
0.166 0.166 0.166 Be
0.424 0.916 0.916 Be
0.576 0.084 0.084 Be
0.834 0.834 0.834 Be
0.916 0.424 0.916 Be
0.916 0.916 0.424 Be
0.360 0.360 0.360 Nb
0.500 0.500 0.500 Nb
0.640 0.640 0.640 Nb
```

***

[3]
# ErTlP2Se6
Simulated powder XRD pattern, copper Kα. Input: DFT lattice parameters and positions (PBE).
Peak positions follow from Bragg's law for the DFT cell and can differ from measured ones.

Principal peaks in the range 2θ from 15° to 90°, by angle:
2θ 17.1, d 5.178, intensity 54
2θ 17.5, d 5.077, intensity 46
2θ 19.6, d 4.531, intensity 54
2θ 25.0, d 3.567, intensity 94
2θ 29.2, d 3.063, intensity 94
2θ 29.8, d 2.996, intensity 63
2θ 30.1, d 2.965, intensity 93
2θ 31.1, d 2.876, intensity 100
2θ 33.9, d 2.646, intensity 46
2θ 34.6, d 2.589, intensity 65
2θ 35.1, d 2.555, intensity 67
2θ 36.3, d 2.474, intensity 52

Cell and atoms:
```
ErTlP2Se6
1.0
6.825 0.000 0.000
0.000 7.598 0.000
-0.215 0.000 10.356
Er Tl P Se
2 2 4 12
Direct
0.216 0.000 0.002 Er
0.784 0.500 0.998 Er
0.319 0.223 0.508 Tl
0.681 0.723 0.492 Tl
0.189 0.732 0.295 P
0.313 0.512 0.175 P
0.687 0.012 0.825 P
0.811 0.232 0.705 P
0.069 0.311 0.831 Se
0.075 0.311 0.168 Se
0.151 0.639 0.490 Se
0.373 0.638 0.984 Se
0.400 0.944 0.266 Se
0.406 0.915 0.745 Se
0.594 0.415 0.255 Se
0.600 0.444 0.734 Se
0.627 0.138 0.016 Se
0.849 0.139 0.510 Se
0.925 0.811 0.832 Se
0.931 0.811 0.169 Se
```